Diffraction record for CdCu2SiSe2S2. The X-ray diffraction stick pattern is theoretical, not measured: it uses a cell relaxed with GGA-PBE and Cu Ka.
Kinematic intensities with the Lorentz-polarization factor, no thermal factor.

Largest 10 diffraction maxima, in order of rising 2θ, 2θ from 10° to 90°:
2theta, d/Å, intensity
17.8, 4.971, 15
27.9, 3.196, 98
28.0, 3.183, 100
29.6, 3.015, 19
36.7, 2.449, 15
45.6, 1.990, 22
45.9, 1.978, 23
46.9, 1.938, 84
54.4, 1.687, 26
54.6, 1.682, 26

```
CdCu2SiSe2S2
1.0
0.000 3.980 5.362
3.955 0.000 5.362
3.955 3.980 0.000
Cd Cu Si Se S
1 2 1 2 2
Cartesian
0.000 0.000 0.000 Cd
1.978 1.990 2.888 Cu
5.933 5.970 8.249 Cu
3.955 3.980 5.356 Si
3.955 2.200 6.828 Se
3.955 5.760 6.828 Se
5.674 3.980 4.027 S
2.236 3.980 4.027 S
```